For SbNClF3, the PBE geometry in the Materials Project gives the computed powder X-ray diffraction pattern in this record (Cu Ka).
No peak broadening, texture or thermal motion is included.

Structure:
```
SbNClF3
1.0
7.4149 0.0000 0.0000
0.0000 8.9564 0.0000
0.0000 0.0000 16.4768
Sb N Cl F
8 8 8 24
Cartesian
1.0254 0.1982 2.8881
1.0254 4.2800 11.1265
2.6820 4.6763 2.8881
2.6820 8.7582 11.1265
4.7329 0.1982 5.3503
4.7329 4.2800 13.5887
6.3895 4.6763 5.3503
6.3895 8.7582 13.5887
1.3187 6.1894 15.6824
1.3187 7.2451 7.4440
2.3887 1.7112 15.6824
2.3887 2.7669 7.4440
5.0262 6.1894 9.0329
5.0262 7.2451 0.7944
6.0962 1.7112 9.0329
6.0962 2.7669 0.7944
0.0808 5.2587 2.8508
0.0808 8.1758 11.0892
3.6267 0.7805 2.8508
3.6267 3.6976 11.0892
3.7882 5.2587 5.3877
3.7882 8.1758 13.6261
7.3342 0.7805 5.3877
7.3342 3.6976 13.6261
0.8473 2.1005 2.6279
0.8473 2.3777 10.8663
0.8724 0.1931 13.7520
0.8724 4.2851 5.5136
1.2367 4.7775 9.2892
1.2367 8.6571 1.0508
2.4707 0.2993 9.2892
2.4707 4.1789 1.0508
2.8350 4.6713 13.7520
2.8350 8.7633 5.5136
2.8601 6.5787 2.6279
2.8601 6.8559 10.8663
4.5548 2.1005 5.6105
4.5548 2.3777 13.8489
4.5799 0.1931 10.9633
4.5799 4.2851 2.7249
4.9442 4.7775 15.4260
4.9442 8.6571 7.1876
6.1782 0.2993 15.4260
6.1782 4.1789 7.1876
6.5425 4.6713 10.9633
6.5425 8.7633 2.7249
6.5676 6.5787 5.6105
6.5676 6.8559 13.8489
```

Most intense lines, 2θ from 10° to 90°, sorted by position:
2θ 10.7, I = 100
2θ 16.1, I = 76
2θ 19.8, I = 70
2θ 22.5, I = 36
2θ 22.6, I = 29
2θ 24.7, I = 29
2θ 25.6, I = 35
2θ 26.6, I = 60
2θ 32.6, I = 29
2θ 41.3, I = 40

---

For Mo3N2, the PBE geometry in the Materials Project gives the computed powder X-ray diffraction pattern in this record (Cu Ka).
No peak broadening, texture or thermal motion is included.

Structure:
```
Mo3N2
1.0
4.1598 0.0000 0.0000
0.0000 4.1598 0.0000
0.0000 0.0000 4.0788
Mo N
3 2
Cartesian
0.0000 0.0000 0.0000
0.0000 2.0799 2.0394
2.0799 0.0000 2.0394
0.0000 0.0000 2.0394
2.0799 2.0799 2.0394
```

Most intense lines, 2θ from 10° to 90°, sorted by position:
2θ 21.4, I = 30
2θ 21.8, I = 24
2θ 30.7, I = 24
2θ 37.7, I = 100
2θ 43.5, I = 47
2θ 44.4, I = 22
2θ 63.2, I = 14
2θ 63.9, I = 28
2θ 76.0, I = 26
2θ 80.5, I = 15

---

For Tb4C5, the PBE geometry in the Materials Project gives the computed powder X-ray diffraction pattern in this record (Cu Ka).
No peak broadening, texture or thermal motion is included.

Structure:
```
Tb4C5
1.0
6.6288 0.0000 0.0000
0.0000 12.0519 0.0000
0.0000 0.0000 3.6954
Tb C
8 10
Cartesian
0.7028 2.3704 0.0000
1.6192 11.5451 1.8477
1.6952 5.5191 1.8477
2.6116 8.3963 0.0000
4.0172 3.6555 0.0000
4.9336 6.5327 1.8477
5.0096 0.5068 1.8477
5.9260 9.6815 0.0000
0.0000 0.0000 0.0000
0.6509 7.9159 1.8477
0.9330 9.2169 1.8477
2.3814 3.1910 1.8477
2.6635 1.8899 1.8477
3.3144 6.0259 0.0000
3.9653 10.1620 1.8477
4.2474 8.8609 1.8477
5.6958 2.8350 1.8477
5.9779 4.1360 1.8477
```

Most intense lines, 2θ from 10° to 90°, sorted by position:
2θ 27.9, I = 27
2θ 28.3, I = 100
2θ 30.8, I = 36
2θ 31.4, I = 50
2θ 32.6, I = 67
2θ 36.4, I = 36
2θ 37.2, I = 47
2θ 53.8, I = 38
2θ 57.4, I = 36
2θ 57.7, I = 24

---

Which formula does entry 2 have?
Mo3N2